The following is a calculated powder XRD pattern of Ba4In3Pd2. It was derived from a structure optimized by DFT (GGA-PBE), using Cu Kα (λ = 1.5418 Å).

Structure:
Cell: 18.245 4.431 8.327 Å, 90.00 111.11 90.00°
Space group C2/m (No. 12)
Inequivalent atoms, fractional coordinates:
Ba1 0.075 0.000 0.379
Ba2 0.227 0.500 0.184
In1 0.000 0.500 0.000
In2 0.098 0.500 0.746
Pd1 0.090 0.000 0.951

Principal peaks in the range 2θ = 10–90°, low angle first:
- hkl 0 0 1, 11.39°, d 7.768, rel. 38
- hkl 3 1 -1, 25.54°, d 3.488, rel. 40
- hkl 3 1 1, 30.33°, d 2.947, rel. 100
- hkl 1 1 2, 32.47°, d 2.757, rel. 48
- hkl 5 1 -2, 34.63°, d 2.590, rel. 60
- hkl 0 2 0, 40.72°, d 2.216, rel. 37